Structure and theoretical XRD peak list of Pu4Zr (a structure optimized by DFT (PBE); Cu Kα).
Neutral-atom scattering factors, no anomalous dispersion.

Structural model:
```
data_Pu4Zr
_chemical_formula_sum 'Pu16 Zr4'
_cell_length_a 3.236
_cell_length_b 4.853
_cell_length_c 23.627
_cell_angle_alpha 90.00
_cell_angle_beta 90.00
_cell_angle_gamma 90.00
_space_group_name_H-M_alt 'F m m m'
_space_group_IT_number 69
_space_group_name_Hall '-F 2 2'
loop_
_atom_site_label
_atom_site_fract_x
_atom_site_fract_y
_atom_site_fract_z
Pu1 0.000 0.000 0.117
Pu2 0.000 0.000 0.300
Zr1 0.000 0.000 0.500
```

Largest 10 diffraction maxima, in order of rising 2θ, 10° ≤ 2θ ≤ 90°:
- 2θ = 15.00°, d 5.907, I = 11.5
- 2θ = 37.05°, d 2.426, I = 31.4
- 2θ = 38.09°, d 2.363, I = 17.4
- 2θ = 38.48°, d 2.339, I = 100.0
- 2θ = 42.97°, d 2.105, I = 18.5
- 2θ = 54.19°, d 1.693, I = 12.8
- 2θ = 56.91°, d 1.618, I = 9.3
- 2θ = 67.73°, d 1.383, I = 19.7
- 2θ = 69.88°, d 1.346, I = 10.2
- 2θ = 77.25°, d 1.235, I = 8.8